(1)
Calculated X-ray powder pattern of CoNiTe4 for Cu Kα X-rays, from a structure optimized by DFT (GGA-PBE).
Intensities are scaled so that the largest is 100.

Structure:
Unit cell a=12.578 b=3.856 c=6.690 alpha=90.00 beta=122.02 gamma=90.00
Positions (direct):
Co1 0.000 0.000 0.000
Co2 0.500 0.500 0.000
Ni1 0.000 0.500 0.500
Ni2 0.500 0.000 0.500
Te1 0.120 0.500 0.958
Te2 0.121 0.000 0.448
Te3 0.379 0.500 0.552
Te4 0.380 0.000 0.042
Te5 0.620 0.000 0.958
Te6 0.621 0.500 0.448
Te7 0.879 0.000 0.552
Te8 0.880 0.500 0.042

Largest 10 diffraction maxima, low angle first, 2θ = 10–90°:
2θ = 16.6°, rel. 10, hkl 2 0 0
2θ = 31.6°, rel. 100, hkl 3 1 -1
2θ = 33.6°, rel. 10, hkl 4 0 0
2θ = 43.4°, rel. 30, hkl 2 0 2
2θ = 47.1°, rel. 32, hkl 0 2 0
2θ = 57.8°, rel. 14, hkl 6 0 -4
2θ = 58.8°, rel. 13, hkl 5 1 1
2θ = 59.1°, rel. 8, hkl 4 2 0
2θ = 66.0°, rel. 7, hkl 2 2 2
2θ = 77.7°, rel. 8, hkl 6 2 -4

---

(2)
Calculated X-ray powder pattern of Tm2GaNi2 for Cu Kα X-rays, from a structure optimized by DFT (GGA-PBE).
Intensities are scaled so that the largest is 100.

Structure:
Unit cell a=4.150 b=5.352 c=8.159 alpha=90.00 beta=90.00 gamma=90.00
Positions (direct):
Tm1 0.000 0.000 0.204
Tm2 0.000 0.000 0.796
Tm3 0.500 0.500 0.296
Tm4 0.500 0.500 0.704
Ga1 0.000 0.500 0.000
Ga2 0.500 0.000 0.500
Ni1 0.000 0.273 0.500
Ni2 0.000 0.727 0.500
Ni3 0.500 0.227 0.000
Ni4 0.500 0.773 0.000

Largest 10 diffraction maxima, low angle first, 2θ = 10–90°:
2θ = 27.2°, rel. 41, hkl 1 1 0
2θ = 35.1°, rel. 100, hkl 1 1 2
2θ = 37.1°, rel. 30, hkl 0 1 3
2θ = 39.6°, rel. 25, hkl 1 0 3
2θ = 40.3°, rel. 27, hkl 0 2 2
2θ = 41.7°, rel. 39, hkl 1 2 1
2θ = 43.6°, rel. 29, hkl 2 0 0
2θ = 56.1°, rel. 17, hkl 1 3 0
2θ = 60.9°, rel. 29, hkl 2 2 2
2θ = 71.4°, rel. 25, hkl 1 2 5